No. 1
# Ho12InPt7
Theoretical powder XRD pattern, Cu Kα, 1.54184 Å. Input: a crystal structure in Alexandria, relaxed with PBE.
No peak broadening, texture or thermal motion is included.

Peak list (8 most intense, 10 to 90 degrees two-theta, sorted by position)
2theta, intensity
32.59, 67
32.93, 35
33.61, 48
34.77, 40
34.93, 100
37.14, 54
37.30, 25
62.43, 19

```
data_Ho12InPt7
_chemical_formula_sum 'Ho48 In4 Pt28'
_symmetry_space_group_name_H-M 'I 4/m c m'
_symmetry_Int_Tables_number 140
_symmetry_space_group_name_Hall '-I 4 2c'
_cell_length_a 11.540
_cell_length_b 11.540
_cell_length_c 14.464
_cell_angle_alpha 90.00
_cell_angle_beta 90.00
_cell_angle_gamma 90.00
loop_
_atom_site_label
_atom_site_fract_x
_atom_site_fract_y
_atom_site_fract_z
_atom_site_occupancy
Ho1 0.000 0.500 0.133 1
Ho2 0.073 0.207 0.145 1
Ho3 0.177 0.323 0.500 1
In1 0.000 0.000 0.000 1
Pt1 0.000 0.000 0.250 1
Pt2 0.128 0.372 0.000 1
Pt3 0.171 0.329 0.308 1
```

---

No. 2
# Rb3Ho3InTe8
Theoretical powder XRD pattern, Cu Kα, 1.54184 Å. Input: a crystal structure in Alexandria, relaxed with PBE.
No peak broadening, texture or thermal motion is included.

Peak list (8 most intense, 10 to 90 degrees two-theta, sorted by position)
2theta, intensity
27.02, 100
33.37, 20
35.87, 12
35.94, 22
41.07, 24
41.16, 12
44.46, 14
49.92, 12

```
data_Rb3Ho3InTe8
_chemical_formula_sum 'Rb6 Ho6 In2 Te16'
_symmetry_space_group_name_H-M 'C 1 2/m 1'
_symmetry_Int_Tables_number 12
_cell_length_a 15.236
_cell_length_b 8.772
_cell_length_c 10.207
_cell_angle_alpha 90.00
_cell_angle_beta 119.91
_cell_angle_gamma 90.00
loop_
_symmetry_equiv_pos_as_xyz
'x,y,z'
'-x,-y,-z'
'-x,y,-z'
'x,-y,z'
'x+1/2,y+1/2,z'
'-x+1/2,-y+1/2,-z'
'-x+1/2,y+1/2,-z'
'x+1/2,-y+1/2,z'
loop_
_atom_site_label
_atom_site_fract_x
_atom_site_fract_y
_atom_site_fract_z
_atom_site_occupancy
Rb1 0.000 0.000 0.000 1
Rb2 0.250 0.250 0.000 1
Ho1 0.000 0.500 0.500 1
Ho2 0.250 0.250 0.500 1
In1 0.000 0.000 0.500 1
Te1 0.018 0.250 0.304 1
Te2 0.232 0.000 0.696 1
Te3 0.233 0.500 0.700 1
```